For Pm2CrC4, the PBE geometry in Alexandria gives the calculated XRD peak list in this record (a wavelength of 1.5418 Å).
Neutral-atom scattering factors, no anomalous dispersion.

Peak list (10 most intense, 10° ≤ 2θ ≤ 90°, low angle first)
| d [Å] | I (rel.) |
| --- | --- |
| 3.260 | 100 |
| 3.059 | 55 |
| 2.967 | 85 |
| 2.587 | 27 |
| 2.508 | 32 |
| 2.383 | 24 |
| 2.044 | 18 |
| 1.796 | 24 |
| 1.679 | 23 |
| 1.604 | 35 |

Cell and atoms:
abc: 6.832 6.832 6.832
angles: 110.67 86.20 135.51
Atoms (fractional coordinates):
Pm1 0.146 0.158 0.305
Pm2 0.354 0.658 0.012
Pm3 0.646 0.342 0.988
Pm4 0.854 0.842 0.695
Cr1 0.250 0.750 0.500
Cr2 0.750 0.250 0.500
C1 0.079 0.674 0.753
C2 0.123 0.840 0.964
C3 0.377 0.340 0.717
C4 0.421 0.174 0.595
C5 0.579 0.826 0.405
C6 0.623 0.660 0.283
C7 0.877 0.160 0.036
C8 0.921 0.326 0.247

=====

For Li15Zn2Au2, the PBE geometry in Alexandria gives the calculated XRD peak list in this record (a wavelength of 1.5418 Å).
Neutral-atom scattering factors, no anomalous dispersion.

Peak list (10 most intense, 10° ≤ 2θ ≤ 90°, low angle first)
| d [Å] | I (rel.) |
| --- | --- |
| 5.854 | 30 |
| 5.383 | 47 |
| 3.933 | 100 |
| 3.265 | 42 |
| 3.122 | 53 |
| 2.471 | 18 |
| 2.445 | 35 |
| 2.271 | 27 |
| 2.077 | 35 |
| 1.664 | 18 |

Cell and atoms:
abc: 7.410 7.410 7.410
angles: 64.13 64.13 64.13
Atoms (fractional coordinates):
Li1 0.000 0.000 0.500
Li2 0.000 0.305 0.695
Li3 0.000 0.500 0.000
Li4 0.000 0.695 0.305
Li5 0.193 0.561 0.561
Li6 0.305 0.000 0.695
Li7 0.305 0.695 0.000
Li8 0.439 0.439 0.807
Li9 0.439 0.807 0.439
Li10 0.500 0.000 0.000
Li11 0.561 0.193 0.561
Li12 0.561 0.561 0.193
Li13 0.695 0.000 0.305
Li14 0.695 0.305 0.000
Li15 0.807 0.439 0.439
Zn1 0.083 0.083 0.083
Zn2 0.917 0.917 0.917
Au1 0.297 0.297 0.297
Au2 0.703 0.703 0.703

=====

For LiBRh2Pb, the PBE geometry in Alexandria gives the calculated XRD peak list in this record (a wavelength of 1.5418 Å).
Neutral-atom scattering factors, no anomalous dispersion.

Peak list (10 most intense, 10° ≤ 2θ ≤ 90°, low angle first)
| d [Å] | I (rel.) |
| --- | --- |
| 4.136 | 41 |
| 2.983 | 45 |
| 2.419 | 100 |
| 2.153 | 19 |
| 2.068 | 34 |
| 1.699 | 17 |
| 1.491 | 24 |
| 1.289 | 14 |
| 1.251 | 25 |
| 1.210 | 12 |

Cell and atoms:
abc: 4.136 4.136 4.306
angles: 90.00 90.00 90.00
Atoms (fractional coordinates):
Li1 0.000 0.000 0.000
B1 0.000 0.000 0.500
Rh1 0.000 0.500 0.500
Rh2 0.500 0.000 0.500
Pb1 0.500 0.500 0.000